(1)
KPmSeO5: theoretical XRD peak list (a wavelength of 1.5418 Å), based on a crystal structure in Alexandria, relaxed with PBE.
No peak broadening, texture or thermal motion is included.

Largest 12 diffraction maxima, in order of rising 2θ, 10 to 90 degrees two-theta:
2θ/deg	d_spacing	I (rel.)
15.37	5.764	59
23.57	3.775	100
25.41	3.505	77
29.37	3.041	84
30.01	2.977	62
31.86	2.809	30
33.24	2.696	22
36.56	2.458	29
44.75	2.025	20
46.45	1.955	24
47.31	1.921	25
50.31	1.814	29

Cell: 7.7856 10.1256 8.1760 Å, 90.00 115.78 90.00°
Space group C2/c (No. 15)
One atom of each set of equivalent atoms:
K 0.0000 0.1729 0.2500 [4 per cell]
Pm 0.0000 0.5000 0.0000 [4 per cell]
Se 0.0000 0.1802 0.7500 [4 per cell]
O 0.0000 0.4199 0.2500 [4 per cell]
O 0.0884 0.2750 0.6358 [8 per cell]
O 0.1678 0.0814 0.8994 [8 per cell]

---

(2)
KPmSeO: theoretical XRD peak list (a wavelength of 1.5418 Å), based on a crystal structure in Alexandria, relaxed with PBE.
No peak broadening, texture or thermal motion is included.

Largest 12 diffraction maxima, in order of rising 2θ, 10 to 90 degrees two-theta:
2θ/deg	d_spacing	I (rel.)
12.35	7.169	61
26.63	3.347	30
27.60	3.232	15
31.20	2.867	100
33.67	2.662	23
39.60	2.276	13
42.95	2.106	33
46.42	1.956	34
48.22	1.887	13
56.99	1.616	17
76.46	1.246	14
83.63	1.156	13

Cell: 3.9124 3.9124 21.5060 Å, 90.00 90.00 120.00°
Space group R3m (No. 160, hexagonal axes)
One atom of each set of equivalent atoms:
K 0.0000 0.0000 0.0000 [3 per cell]
Pm 0.0000 0.0000 0.4790 [3 per cell]
Se 0.0000 0.0000 0.2322 [3 per cell]
O 0.0000 0.0000 0.7679 [3 per cell]

---

(3)
KPmTaO5: theoretical XRD peak list (a wavelength of 1.5418 Å), based on a crystal structure in Alexandria, relaxed with PBE.
No peak broadening, texture or thermal motion is included.

Largest 12 diffraction maxima, in order of rising 2θ, 10 to 90 degrees two-theta:
2θ/deg	d_spacing	I (rel.)
15.83	5.599	71
21.29	4.173	38
22.51	3.949	100
25.37	3.511	81
27.86	3.203	78
28.89	3.090	91
30.33	2.947	25
31.97	2.800	39
43.36	2.087	29
46.95	1.935	28
49.00	1.859	26
49.38	1.846	26

Cell: 7.5449 10.3243 8.7753 Å, 90.00 111.46 90.00°
Space group C2/c (No. 15)
One atom of each set of equivalent atoms:
K 0.0000 0.1632 0.2500 [4 per cell]
Pm 0.0000 0.5000 0.0000 [4 per cell]
Ta 0.0000 0.1896 0.7500 [4 per cell]
O 0.0000 0.4190 0.2500 [4 per cell]
O 0.0977 0.2949 0.6266 [8 per cell]
O 0.1892 0.0790 0.8866 [8 per cell]

---

(4)
K2Pm2TeO6: theoretical XRD peak list (a wavelength of 1.5418 Å), based on a crystal structure in Alexandria, relaxed with PBE.
No peak broadening, texture or thermal motion is included.

Largest 12 diffraction maxima, in order of rising 2θ, 10 to 90 degrees two-theta:
2θ/deg	d_spacing	I (rel.)
13.83	6.403	100
27.87	3.201	25
29.59	3.019	35
30.37	2.943	17
30.85	2.898	33
34.60	2.592	50
35.16	2.552	24
37.89	2.374	9
44.07	2.055	14
48.56	1.875	16
51.72	1.767	16
56.23	1.636	9

Cell: 6.1327 10.5616 6.6701 Å, 90.00 106.28 90.00°
Space group C2/m (No. 12)
One atom of each set of equivalent atoms:
K 0.0000 0.1613 0.0000 [4 per cell]
Pm 0.0000 0.3351 0.5000 [4 per cell]
Te 0.0000 0.0000 0.5000 [2 per cell]
O 0.2102 0.1622 0.6774 [8 per cell]
O 0.2472 0.5000 0.6789 [4 per cell]

---

(5)
K3Pm3TlO8: theoretical XRD peak list (a wavelength of 1.5418 Å), based on a crystal structure in Alexandria, relaxed with PBE.
No peak broadening, texture or thermal motion is included.

Largest 12 diffraction maxima, in order of rising 2θ, 10 to 90 degrees two-theta:
2θ/deg	d_spacing	I (rel.)
14.00	6.326	100
28.21	3.163	27
29.23	3.056	40
30.37	2.943	59
34.59	2.593	81
37.49	2.399	16
44.42	2.040	20
48.33	1.883	27
51.10	1.788	26
53.25	1.720	20
56.91	1.618	13
59.39	1.556	20

Cell: 7.1503 7.1503 18.9775 Å, 90.00 90.00 120.00°
Space group R-3m (No. 166, hexagonal axes)
One atom of each set of equivalent atoms:
K 0.0000 0.5000 0.0000 [9 per cell]
Pm 0.0000 0.5000 0.5000 [9 per cell]
Tl 0.0000 0.0000 0.5000 [3 per cell]
O 0.0000 0.0000 0.2279 [6 per cell]
O 0.0112 0.5056 0.2286 [18 per cell]